For La8NdSc2, a GGA-PBE-relaxed structure gives the calculated powder XRD pattern in this record (Cu Kα, 1.54184 Å).

Peak list (12 most intense, 10 to 90 degrees two-theta, most intense first)
hkl	two_theta	Rel. int.
1 2 3	31.19	100.0
1 1 4	29.46	33.9
2 0 0	32.10	33.6
0 3 1	31.67	23.5
1 1 2	22.03	19.7
0 0 6	33.79	19.3
3 2 3	56.65	18.1
2 3 1	45.71	17.0
2 0 6	47.29	15.0
1 5 4	60.91	14.6
2 3 7	61.76	13.9
0 3 7	51.25	12.3

```
data_La8NdSc2
_chemical_formula_sum 'La16 Nd2 Sc4'
_symmetry_space_group_name_H-M 'I m m m'
_symmetry_Int_Tables_number 71
_symmetry_space_group_name_Hall '-I 2 2'
_cell_length_a 5.577
_cell_length_b 8.614
_cell_length_c 15.918
_cell_angle_alpha 90.00
_cell_angle_beta 90.00
_cell_angle_gamma 90.00
loop_
_atom_site_label
_atom_site_type_symbol
_atom_site_fract_x
_atom_site_fract_y
_atom_site_fract_z
La1 La 0.000 0.000 0.159
La2 La 0.000 0.199 0.355
La3 La 0.000 0.304 0.000
Nd1 Nd 0.000 0.500 0.500
Sc1 Sc 0.000 0.500 0.202
```

---

For K2ReN3, a GGA-PBE-relaxed structure gives the calculated powder XRD pattern in this record (Cu Kα, 1.54184 Å).

Peak list (12 most intense, 10 to 90 degrees two-theta, most intense first)
hkl	two_theta	Rel. int.
3 1 1	29.62	100.0
1 1 1	20.78	84.4
2 0 0	14.72	81.5
0 2 1	29.35	55.3
1 1 0	14.55	54.9
0 0 2	29.76	43.6
3 1 0	25.54	41.8
2 2 1	32.98	36.7
3 3 2	54.57	33.3
6 2 1	54.84	30.6
3 1 2	39.59	25.4
2 0 2	33.32	25.1

```
data_K2ReN3
_chemical_formula_sum 'K8 Re4 N12'
_symmetry_space_group_name_H-M 'C m c 21'
_symmetry_Int_Tables_number 36
_cell_length_a 12.035
_cell_length_b 7.060
_cell_length_c 6.005
_cell_angle_alpha 90.00
_cell_angle_beta 90.00
_cell_angle_gamma 90.00
loop_
_symmetry_equiv_pos_as_xyz
'x,y,z'
'-x,-y,z+1/2'
'-x,y,z'
'x,-y,z+1/2'
'x+1/2,y+1/2,z'
'-x+1/2,-y+1/2,z+1/2'
'-x+1/2,y+1/2,z'
'x+1/2,-y+1/2,z+1/2'
loop_
_atom_site_label
_atom_site_type_symbol
_atom_site_fract_x
_atom_site_fract_y
_atom_site_fract_z
K1 K 0.157 0.183 0.000
Re1 Re 0.000 0.349 0.484
N1 N 0.000 0.451 0.190
N2 N 0.120 0.205 0.515
```

---

For Zn2Ga8Cu3, a GGA-PBE-relaxed structure gives the calculated powder XRD pattern in this record (Cu Kα, 1.54184 Å).

Peak list (12 most intense, 10 to 90 degrees two-theta, most intense first)
hkl	two_theta	Rel. int.
3 1 -2	42.43	100.0
1 1 2	40.33	85.5
0 2 0	45.23	48.4
2 0 -4	45.75	34.4
0 1 3	44.50	29.7
1 1 0	25.71	21.8
2 2 -4	66.30	21.5
1 1 -2	31.74	21.1
2 1 1	40.70	20.5
3 0 1	46.79	19.9
2 1 -1	32.20	13.8
3 3 -2	81.58	13.5

```
data_Zn2Ga8Cu3
_chemical_formula_sum 'Zn2 Ga8 Cu3'
_symmetry_space_group_name_H-M 'P 1 2/m 1'
_symmetry_Int_Tables_number 10
_cell_length_a 7.722
_cell_length_b 4.009
_cell_length_c 7.951
_cell_angle_alpha 90.00
_cell_angle_beta 116.90
_cell_angle_gamma 90.00
loop_
_symmetry_equiv_pos_as_xyz
'x,y,z'
'-x,-y,-z'
'-x,y,-z'
'x,-y,z'
loop_
_atom_site_label
_atom_site_type_symbol
_atom_site_fract_x
_atom_site_fract_y
_atom_site_fract_z
Zn1 Zn 0.024 0.000 0.309
Ga1 Ga 0.214 0.000 0.103
Ga2 Ga 0.219 0.500 0.851
Ga3 Ga 0.295 0.500 0.410
Ga4 Ga 0.302 0.000 0.647
Cu1 Cu 0.465 0.500 0.205
Cu2 Cu 0.500 0.000 0.000
```

---

For Pm2TmIn3Hg6, a GGA-PBE-relaxed structure gives the calculated powder XRD pattern in this record (Cu Kα, 1.54184 Å).

Peak list (12 most intense, 10 to 90 degrees two-theta, most intense first)
hkl	two_theta	Rel. int.
2 0 0	42.30	100.0
1 0 7	37.56	97.3
1 1 4	34.57	89.6
1 1 1	29.90	87.1
1 1 3	32.47	65.4
1 1 5	37.13	60.0
1 0 1	21.25	55.9
2 1 7	57.83	55.3
1 1 14	72.49	37.0
0 0 9	40.07	36.9
1 0 4	27.32	35.8
2 2 0	61.36	33.4

```
data_Pm2TmIn3Hg6
_chemical_formula_sum 'Pm2 Tm1 In3 Hg6'
_symmetry_space_group_name_H-M 'P 4/m m m'
_symmetry_Int_Tables_number 123
_symmetry_space_group_name_Hall '-P 4 2'
_cell_length_a 4.274
_cell_length_b 4.274
_cell_length_c 20.236
_cell_angle_alpha 90.00
_cell_angle_beta 90.00
_cell_angle_gamma 90.00
loop_
_atom_site_label
_atom_site_type_symbol
_atom_site_fract_x
_atom_site_fract_y
_atom_site_fract_z
Pm1 Pm 0.000 0.000 0.220
Tm1 Tm 0.000 0.000 0.500
In1 In 0.500 0.500 0.000
In2 In 0.500 0.500 0.282
Hg1 Hg 0.000 0.500 0.390
Hg2 Hg 0.500 0.500 0.138
```

---

For TaTeCl9, a GGA-PBE-relaxed structure gives the calculated powder XRD pattern in this record (Cu Kα, 1.54184 Å).

Peak list (12 most intense, 10 to 90 degrees two-theta, most intense first)
hkl	two_theta	Rel. int.
1 1 -1	13.65	100.0
0 0 4	17.90	32.8
5 1 -1	23.24	31.7
4 0 0	16.24	29.7
4 0 -2	15.89	26.1
1 1 -5	25.04	23.5
2 2 3	31.32	22.3
3 1 -1	17.20	17.1
1 1 1	14.46	16.6
3 1 -6	28.93	16.5
4 2 4	38.16	14.4
7 1 -2	30.07	12.5

```
data_TaTeCl9
_chemical_formula_sum 'Ta8 Te8 Cl72'
_symmetry_space_group_name_H-M 'C 1 2/c 1'
_symmetry_Int_Tables_number 15
_cell_length_a 22.999
_cell_length_b 6.973
_cell_length_c 20.876
_cell_angle_alpha 90.00
_cell_angle_beta 108.30
_cell_angle_gamma 90.00
loop_
_symmetry_equiv_pos_as_xyz
'x,y,z'
'-x,-y,-z'
'-x,y,-z+1/2'
'x,-y,z+1/2'
'x+1/2,y+1/2,z'
'-x+1/2,-y+1/2,-z'
'-x+1/2,y+1/2,-z+1/2'
'x+1/2,-y+1/2,z+1/2'
loop_
_atom_site_label
_atom_site_type_symbol
_atom_site_fract_x
_atom_site_fract_y
_atom_site_fract_z
Ta1 Ta 0.141 0.207 0.370
Te1 Te 0.081 0.305 0.164
Cl1 Cl 0.027 0.434 0.599
Cl2 Cl 0.038 0.079 0.351
Cl3 Cl 0.085 0.111 0.073
Cl4 Cl 0.088 0.468 0.293
Cl5 Cl 0.135 0.380 0.461
Cl6 Cl 0.138 0.032 0.265
Cl7 Cl 0.177 0.441 0.179
Cl8 Cl 0.182 0.065 0.929
Cl9 Cl 0.233 0.338 0.372
```

---

For Mg14CuW, a GGA-PBE-relaxed structure gives the calculated powder XRD pattern in this record (Cu Kα, 1.54184 Å).

Peak list (12 most intense, 10 to 90 degrees two-theta, most intense first)
hkl	two_theta	Rel. int.
2 0 2	38.14	100.0
1 0 0	16.51	58.8
1 0 2	24.47	38.9
2 0 0	33.37	30.8
1 0 1	18.80	25.0
0 0 4	36.34	24.7
2 0 6	66.57	19.3
2 0 4	50.15	19.2
2 2 4	71.88	18.4
1 1 2	34.13	18.3
2 1 2	48.48	16.7
2 2 0	59.64	16.6

```
data_Mg14CuW
_chemical_formula_sum 'Mg14 Cu1 W1'
_symmetry_space_group_name_H-M 'P -6 m 2'
_symmetry_Int_Tables_number 187
_symmetry_space_group_name_Hall 'P -6 2'
_cell_length_a 6.2013
_cell_length_b 6.2013
_cell_length_c 9.8900
_cell_angle_alpha 90.00
_cell_angle_beta 90.00
_cell_angle_gamma 120.00
loop_
_atom_site_label
_atom_site_type_symbol
_atom_site_fract_x
_atom_site_fract_y
_atom_site_fract_z
Mg1 Mg 0.0000 0.0000 0.2492
Mg2 Mg 0.0169 0.5085 0.2489
Mg3 Mg 0.3330 0.1665 0.5000
Mg4 Mg 0.3357 0.1679 0.0000
Cu1 Cu 0.3333 0.6667 0.5000
W1 W 0.3333 0.6667 0.0000
```

---

For Th2Cd12Ag7, a GGA-PBE-relaxed structure gives the calculated powder XRD pattern in this record (Cu Kα, 1.54184 Å).

Peak list (12 most intense, 10 to 90 degrees two-theta, most intense first)
hkl	two_theta	Rel. int.
2 1 1	34.25	100.0
1 4 0	38.21	75.5
1 4 2	67.80	22.7
6 -4 1	52.24	19.1
7 0 1	66.53	16.6
4 -3 1	40.06	12.0
3 0 1	36.27	10.5
6 3 0	69.06	9.6
0 0 2	53.70	9.3
0 2 1	31.00	8.0
4 3 1	58.63	7.9
7 -6 1	62.65	7.7

```
data_Th2Cd12Ag7
_chemical_formula_sum 'Th2 Cd12 Ag7'
_symmetry_space_group_name_H-M 'P -3'
_symmetry_Int_Tables_number 147
_cell_length_a 12.4650
_cell_length_b 12.4650
_cell_length_c 3.4136
_cell_angle_alpha 90.00
_cell_angle_beta 90.00
_cell_angle_gamma 120.00
loop_
_symmetry_equiv_pos_as_xyz
'x,y,z'
'-x,-y,-z'
'-y,x-y,z'
'y,-x+y,-z'
'-x+y,-x,z'
'x-y,x,-z'
loop_
_atom_site_label
_atom_site_type_symbol
_atom_site_fract_x
_atom_site_fract_y
_atom_site_fract_z
Th1 Th 0.3333 0.6667 0.2454
Cd1 Cd 0.0730 0.4559 0.7504
Cd2 Cd 0.0813 0.2472 0.2371
Ag1 Ag 0.0000 0.0000 0.5000
Ag2 Ag 0.1362 0.7145 0.7476
```

---

For Tb10Tl3Bi3, a GGA-PBE-relaxed structure gives the calculated powder XRD pattern in this record (Cu Kα, 1.54184 Å).

Peak list (12 most intense, 10 to 90 degrees two-theta, most intense first)
hkl	two_theta	Rel. int.
2 1 1	32.95	100.0
1 1 2	33.38	69.4
3 0 0	34.13	36.9
2 1 3	51.38	29.0
2 1 0	30.00	24.6
0 0 2	26.81	23.4
5 0 2	65.54	22.1
3 1 1	43.58	16.2
2 2 2	48.48	14.9
2 2 3	58.08	12.2
2 2 1	41.97	12.1
0 0 4	55.25	11.4

```
data_Tb10Tl3Bi3
_chemical_formula_sum 'Tb10 Tl3 Bi3'
_symmetry_space_group_name_H-M 'P -6 2 m'
_symmetry_Int_Tables_number 189
_symmetry_space_group_name_Hall 'P -6 -2'
_cell_length_a 9.1008
_cell_length_b 9.1008
_cell_length_c 6.6497
_cell_angle_alpha 90.00
_cell_angle_beta 90.00
_cell_angle_gamma 120.00
loop_
_atom_site_label
_atom_site_type_symbol
_atom_site_fract_x
_atom_site_fract_y
_atom_site_fract_z
Tb1 Tb 0.0000 0.2360 0.0000
Tb2 Tb 0.0000 0.7638 0.5000
Tb3 Tb 0.3333 0.6667 0.2559
Tl1 Tl 0.0000 0.3941 0.5000
Bi1 Bi 0.0000 0.6046 0.0000
```

---

For Na3BeSe3, a GGA-PBE-relaxed structure gives the calculated powder XRD pattern in this record (Cu Kα, 1.54184 Å).

Peak list (12 most intense, 10 to 90 degrees two-theta, most intense first)
hkl	two_theta	Rel. int.
2 1 1	26.91	100.0
1 2 -1	28.70	89.8
0 1 3	27.03	87.5
3 1 0	34.35	63.2
2 2 -2	35.85	50.6
2 0 -2	24.30	44.7
1 3 2	44.60	32.7
3 0 0	31.71	28.4
1 1 -4	34.53	27.8
1 0 -8	65.42	24.1
1 1 -5	41.96	22.3
4 1 -1	44.32	22.1

```
data_Na3BeSe3
_chemical_formula_sum 'Na12 Be4 Se12'
_symmetry_space_group_name_H-M 'P 1 21/c 1'
_symmetry_Int_Tables_number 14
_cell_length_a 8.569
_cell_length_b 6.872
_cell_length_c 11.412
_cell_angle_alpha 90.00
_cell_angle_beta 98.70
_cell_angle_gamma 90.00
loop_
_symmetry_equiv_pos_as_xyz
'x,y,z'
'-x,-y,-z'
'-x,y+1/2,-z+1/2'
'x,-y+1/2,z+1/2'
loop_
_atom_site_label
_atom_site_type_symbol
_atom_site_fract_x
_atom_site_fract_y
_atom_site_fract_z
Na1 Na 0.077 0.176 0.123
Na2 Na 0.302 0.705 0.798
Na3 Na 0.391 0.226 0.925
Be1 Be 0.152 0.578 0.044
Se1 Se 0.073 0.087 0.375
Se2 Se 0.265 0.631 0.532
Se3 Se 0.372 0.034 0.656
```

---

For NaSr3Ca4, a GGA-PBE-relaxed structure gives the calculated powder XRD pattern in this record (Cu Kα, 1.54184 Å).

Peak list (12 most intense, 10 to 90 degrees two-theta, most intense first)
hkl	two_theta	Rel. int.
2 2 1	28.63	100.0
4 0 0	27.06	34.4
2 0 2	29.54	29.9
6 2 1	48.79	20.8
0 0 2	26.19	18.1
4 2 3	53.82	16.2
0 2 1	25.16	14.4
0 2 3	45.58	13.7
4 0 2	38.01	12.9
2 0 4	55.80	12.2
2 1 1	21.62	10.9
4 4 0	52.14	9.9

```
data_NaSr3Ca4
_chemical_formula_sum 'Na2 Sr6 Ca8'
_symmetry_space_group_name_H-M 'P m n 21'
_symmetry_Int_Tables_number 31
_cell_length_a 13.181
_cell_length_b 8.288
_cell_length_c 6.806
_cell_angle_alpha 90.00
_cell_angle_beta 90.00
_cell_angle_gamma 90.00
loop_
_symmetry_equiv_pos_as_xyz
'x,y,z'
'-x+1/2,-y,z+1/2'
'-x,y,z'
'x+1/2,-y,z+1/2'
loop_
_atom_site_label
_atom_site_type_symbol
_atom_site_fract_x
_atom_site_fract_y
_atom_site_fract_z
Na1 Na 0.000 0.135 0.000
Sr1 Sr 0.000 0.869 0.487
Sr2 Sr 0.242 0.867 0.871
Ca1 Ca 0.000 0.379 0.511
Ca2 Ca 0.000 0.602 0.009
Ca3 Ca 0.248 0.382 0.866
```

---

For Dy4YTm5, a GGA-PBE-relaxed structure gives the calculated powder XRD pattern in this record (Cu Kα, 1.54184 Å).

Peak list (12 most intense, 10 to 90 degrees two-theta, most intense first)
hkl	two_theta	Rel. int.
5 1 0	31.78	100.0
1 1 2	31.02	84.5
0 2 0	33.27	46.2
4 0 2	33.63	41.2
5 1 4	62.65	36.1
4 2 2	48.03	30.4
3 1 2	34.70	23.6
5 3 0	58.52	17.7
9 1 -2	59.44	17.1
6 0 2	41.80	16.0
1 3 2	58.05	14.4
0 2 4	63.56	14.4

```
data_Dy4YTm5
_chemical_formula_sum 'Dy8 Y2 Tm10'
_symmetry_space_group_name_H-M 'C 1 m 1'
_symmetry_Int_Tables_number 8
_cell_length_a 16.519
_cell_length_b 5.385
_cell_length_c 6.977
_cell_angle_alpha 90.00
_cell_angle_beta 90.01
_cell_angle_gamma 90.00
loop_
_symmetry_equiv_pos_as_xyz
'x,y,z'
'x,-y,z'
'x+1/2,y+1/2,z'
'x+1/2,-y+1/2,z'
loop_
_atom_site_label
_atom_site_type_symbol
_atom_site_fract_x
_atom_site_fract_y
_atom_site_fract_z
Dy1 Dy 0.000 0.000 0.000
Dy2 Dy 0.089 0.500 0.251
Dy3 Dy 0.309 0.500 0.250
Dy4 Dy 0.399 0.000 0.502
Y1 Y 0.199 0.000 0.503
Tm1 Tm 0.089 0.500 0.752
Tm2 Tm 0.199 0.000 0.000
Tm3 Tm 0.309 0.500 0.752
Tm4 Tm 0.398 0.000 0.000
Tm5 Tm 0.499 0.500 0.502
```